1.
Li4Ti3V3Te2O16: computed X-ray powder pattern (Cu Kα (λ = 1.5418 Å)), based on a structure optimized by DFT (GGA+U).

Top 10 peaks for 10° ≤ 2θ ≤ 80°, low angle first:
2theta  d [Å]  intensity
18.76  4.730  56
19.17  4.629  100
24.36  3.653  36
30.99  2.886  30
31.25  2.862  50
34.20  2.622  58
34.82  2.577  26
34.91  2.570  29
35.74  2.513  31
57.12  1.613  34

Crystal structure
```
Li4Ti3V3Te2O16
1.0
5.931 0.000 0.000
-2.965 5.325 0.000
-0.009 -0.008 10.301
Li Ti V Te O
4 3 3 2 16
Direct
0.000 0.000 0.000
0.002 0.005 0.490
0.341 0.683 0.079
0.667 0.335 0.589
0.163 0.824 0.765
0.660 0.823 0.765
0.827 0.655 0.252
0.173 0.346 0.777
0.356 0.181 0.269
0.825 0.181 0.269
0.334 0.668 0.473
0.659 0.319 0.989
0.003 0.005 0.674
0.019 0.522 0.673
0.165 0.330 0.385
0.172 0.841 0.383
0.319 0.159 0.890
0.345 0.690 0.876
0.489 0.978 0.665
0.503 0.521 0.673
0.525 0.050 0.128
0.526 0.511 0.152
0.668 0.841 0.383
0.687 0.374 0.378
0.839 0.159 0.890
0.862 0.723 0.877
0.984 0.511 0.152
0.997 0.995 0.183
```

=====

2.
Li4VTeW2O12: computed X-ray powder pattern (Cu Kα (λ = 1.5418 Å)), based on a structure optimized by DFT (GGA+U).

Top 10 peaks for 10° ≤ 2θ ≤ 80°, low angle first:
2theta  d [Å]  intensity
18.70  4.745  12
20.74  4.282  17
22.99  3.869  53
23.58  3.773  100
31.81  2.813  22
31.99  2.798  21
32.38  2.765  21
34.25  2.618  14
34.52  2.598  13
34.76  2.581  14

Crystal structure
```
Li4VTeW2O12
1.0
5.162 0.000 0.000
-0.012 5.561 0.000
-0.068 -0.832 7.739
Li V Te W O
4 1 1 2 12
Direct
0.000 0.000 0.000
0.010 0.005 0.538
0.490 0.511 0.537
0.513 0.487 0.998
0.990 0.429 0.789
0.503 0.951 0.294
0.007 0.432 0.290
0.510 0.926 0.807
0.136 0.423 0.071
0.153 0.710 0.399
0.210 0.114 0.762
0.306 0.619 0.769
0.309 0.242 0.388
0.372 0.939 0.058
0.644 0.887 0.587
0.682 0.546 0.245
0.716 0.209 0.881
0.791 0.714 0.888
0.852 0.092 0.257
0.879 0.394 0.575
```